MnCdBiF6: calculated powder diffractogram (CuKα), based on DFT lattice parameters and positions (GGA+U).
Kinematic intensities with the Lorentz-polarization factor, no thermal factor.

The 10 most intense peaks (2θ = 5–70°), in order of falling intensity:
d/Å  Position (°2θ)  I/Imax
3.595  24.8  100
1.922  47.3  38
2.927  30.5  36
2.270  39.7  30
1.794  50.9  29
5.070  17.5  19
1.690  54.3  15
1.356  69.3  11
1.611  57.2  10
2.537  35.4  8

Structure:
```
MnCdBiF6
1.0
5.8543 0.0000 0.0000
-2.9272 5.0700 0.0000
0.0000 0.0000 10.1943
Mn Cd Bi F
2 2 2 12
Direct
0.3333 0.6667 0.2500
0.6667 0.3333 0.7500
0.3333 0.6667 0.7500
0.6667 0.3333 0.2500
0.0000 0.0000 0.0000
0.0000 0.0000 0.5000
0.0450 0.3478 0.1296
0.0450 0.6973 0.3704
0.3027 0.3478 0.3704
0.3027 0.9550 0.1296
0.3478 0.0450 0.6296
0.3478 0.3027 0.8704
0.6522 0.6973 0.1296
0.6522 0.9550 0.3704
0.6973 0.0450 0.8704
0.6973 0.6522 0.6296
0.9550 0.3027 0.6296
0.9550 0.6522 0.8704
```